For TlCd2Ga6, a DFT-relaxed cell (PBE, Alexandria) gives the computed powder X-ray diffraction pattern in this record (Cu Kα (λ = 1.5418 Å)).

a b c (Å): 9.1193 14.8207 2.9565
angles (deg): 90.00 102.19 90.00
Space group C2/m (No. 12)
Asymmetric unit:
Tl1 0.0000 0.0000 0.0000 (multiplicity 2)
Cd1 0.1687 0.5000 0.2186 (multiplicity 4)
Ga1 0.0000 0.3433 0.5000 (multiplicity 4)
Ga2 0.1692 0.1806 0.6938 (multiplicity 8)

Top 8 peaks for 10 to 90 degrees two-theta, by angle:
(0 2 0), 2θ = 11.94°, d 7.410, intensity 29; (0 2 1), 2θ = 33.28°, d 2.692, intensity 21; (1 1 1), 2θ = 35.14°, d 2.554, intensity 39; (3 3 0), 2θ = 35.25°, d 2.546, intensity 100; (2 2 -1), 2θ = 35.40°, d 2.536, intensity 39; (0 6 0), 2θ = 36.37°, d 2.470, intensity 42; (2 4 -1), 2θ = 41.39°, d 2.181, intensity 22; (1 5 1), 2θ = 46.53°, d 1.952, intensity 20